(1)
The following is a theoretical X-ray powder pattern of Li2Mg2TlCdAu2. It was derived from the PBE geometry in OQMD, using Cu Kα.

Top 6 peaks for 10 to 90 degrees two-theta, in order of falling intensity:
Position (°2θ), I/Imax
38.23, 1000
23.13, 872
45.16, 458
69.10, 349
60.61, 191
55.17, 172

Structural model:
Unit cell a=4.7070 b=4.7070 c=6.6653 alpha=90.00 beta=90.00 gamma=90.00
Sites, in units of the cell vectors:
Li 0.0000 0.5000 0.2459
Li 0.5000 0.0000 0.7541
Mg 0.0000 0.0000 0.0000
Mg 0.5000 0.5000 0.5000
Tl 0.0000 0.0000 0.5000
Cd 0.5000 0.5000 0.0000
Au 0.0000 0.5000 0.7601
Au 0.5000 0.0000 0.2399

=====

(2)
The following is a theoretical X-ray powder pattern of TbYIn4Ni2. It was derived from the PBE geometry in OQMD, using Cu Kα.

Top 6 peaks for 10 to 90 degrees two-theta, in order of falling intensity:
Position (°2θ), I/Imax
32.99, 1000
35.22, 404
41.91, 276
40.34, 215
36.38, 198
41.22, 196

Structural model:
Unit cell a=7.4176 b=5.6634 c=5.6634 alpha=44.75 beta=90.00 gamma=90.00
Sites, in units of the cell vectors:
Tb 0.0000 0.0000 0.0000
Y 0.5000 0.8679 0.8679
In 0.2001 0.2897 0.2897
In 0.3003 0.5783 0.5783
In 0.6997 0.5783 0.5783
In 0.7999 0.2897 0.2897
Ni 0.0000 0.7174 0.7174
Ni 0.5000 0.1504 0.1504

=====

(3)
The following is a theoretical X-ray powder pattern of Re5H. It was derived from the PBE geometry in OQMD, using Cu Kα.

Top 6 peaks for 10 to 90 degrees two-theta, in order of falling intensity:
Position (°2θ), I/Imax
20.71, 1000
46.66, 979
41.33, 782
38.84, 429
44.41, 281
89.78, 255

Structural model:
Unit cell a=4.9535 b=4.9535 c=4.6376 alpha=90.00 beta=90.00 gamma=120.00
Sites, in units of the cell vectors:
Re 0.0000 0.5000 0.0000
Re 0.3333 0.6667 0.5000
Re 0.5000 0.0000 0.0000
Re 0.5000 0.5000 0.0000
Re 0.6667 0.3333 0.5000
H 0.0000 0.0000 0.5000

=====

(4)
The following is a theoretical X-ray powder pattern of Gd3TeS2. It was derived from the PBE geometry in OQMD, using Cu Kα.

Top 6 peaks for 10 to 90 degrees two-theta, in order of falling intensity:
Position (°2θ), I/Imax
30.87, 1000
44.38, 361
26.71, 308
44.05, 237
55.03, 193
73.27, 164

Structural model:
Unit cell a=4.0828 b=4.0828 c=10.1063 alpha=90.00 beta=90.00 gamma=120.00
Sites, in units of the cell vectors:
Gd 0.0000 0.0000 0.0000
Gd 0.3333 0.6667 0.2960
Gd 0.6667 0.3333 0.7040
Te 0.0000 0.0000 0.5000
S 0.3333 0.6667 0.8472
S 0.6667 0.3333 0.1528

=====

(5)
The following is a theoretical X-ray powder pattern of Ag9Te. It was derived from the PBE geometry in OQMD, using Cu Kα.

Top 6 peaks for 10 to 90 degrees two-theta, in order of falling intensity:
Position (°2θ), I/Imax
37.90, 1000
37.02, 803
42.52, 537
64.00, 301
45.48, 284
38.90, 206

Structural model:
Unit cell a=2.9554 b=3.9897 c=39.7949 alpha=90.00 beta=90.00 gamma=90.00
Sites, in units of the cell vectors:
Ag 0.2500 0.2500 0.0188
Ag 0.2500 0.2500 0.0936
Ag 0.2500 0.2500 0.1689
Ag 0.2500 0.2500 0.2448
Ag 0.2500 0.2500 0.3211
Ag 0.2500 0.2500 0.7178
Ag 0.2500 0.2500 0.7935
Ag 0.2500 0.2500 0.8690
Ag 0.2500 0.2500 0.9440
Ag 0.7500 0.7500 0.0560
Ag 0.7500 0.7500 0.1310
Ag 0.7500 0.7500 0.2065
Ag 0.7500 0.7500 0.2822
Ag 0.7500 0.7500 0.6789
Ag 0.7500 0.7500 0.7552
Ag 0.7500 0.7500 0.8311
Ag 0.7500 0.7500 0.9064
Ag 0.7500 0.7500 0.9812
Te 0.2500 0.2500 0.6344
Te 0.7500 0.7500 0.3656